[1]
The following is a calculated powder X-ray diffraction pattern of Ho2Zn6Cu9. It was derived from a cell relaxed with PBE, using a wavelength of 1.5418 Å.
Neutral-atom scattering factors, no anomalous dispersion.

Main lines, most intense first (2θ = 15–90°):
2theta, I/Imax
41.6, 100
40.8, 31
43.9, 29
29.6, 28
35.1, 26
67.5, 22
46.6, 20
61.5, 17
74.3, 17
21.3, 15

Structure:
Cell: 5.1078 5.1078 12.3631 Å, 90.00 90.00 120.00°
Atoms (fractional coordinates):
Ho1 0.0000 0.0000 0.1693
Ho2 0.0000 0.0000 0.8307
Zn1 0.3333 0.6667 0.1654
Zn2 0.3333 0.6667 0.5000
Zn3 0.3333 0.6667 0.8346
Zn4 0.6667 0.3333 0.1654
Zn5 0.6667 0.3333 0.5000
Zn6 0.6667 0.3333 0.8346
Cu1 0.0000 0.5000 0.0000
Cu2 0.0000 0.5000 0.3321
Cu3 0.0000 0.5000 0.6679
Cu4 0.5000 0.0000 0.0000
Cu5 0.5000 0.0000 0.3321
Cu6 0.5000 0.0000 0.6679
Cu7 0.5000 0.5000 0.0000
Cu8 0.5000 0.5000 0.3321
Cu9 0.5000 0.5000 0.6679

[2]
The following is a calculated powder X-ray diffraction pattern of Ho2Zn5Cu3. It was derived from a cell relaxed with PBE, using a wavelength of 1.5418 Å.
Neutral-atom scattering factors, no anomalous dispersion.

Main lines, most intense first (2θ = 15–90°):
2theta, I/Imax
35.9, 100
36.4, 74
41.9, 45
40.2, 31
40.5, 24
35.3, 23
43.6, 20
70.4, 18
59.7, 16
72.6, 13

Structure:
Cell: 12.0051 12.0051 6.6590 Å, 90.00 90.00 159.29°
Atoms (fractional coordinates):
Ho1 0.0175 0.9825 0.5000
Ho2 0.3250 0.6750 0.4494
Ho3 0.6750 0.3250 0.9494
Ho4 0.9825 0.0175 0.0000
Zn1 0.1059 0.8941 0.1723
Zn2 0.2024 0.7976 0.6211
Zn3 0.2124 0.7876 0.2375
Zn4 0.3742 0.6258 0.9932
Zn5 0.4479 0.5521 0.3052
Zn6 0.5521 0.4479 0.8052
Zn7 0.6258 0.3742 0.4932
Zn8 0.7876 0.2124 0.7375
Zn9 0.7976 0.2024 0.1211
Zn10 0.8941 0.1059 0.6723
Cu1 0.1068 0.8932 0.7810
Cu2 0.2687 0.7313 0.9236
Cu3 0.4469 0.5531 0.7039
Cu4 0.5531 0.4469 0.2039
Cu5 0.7313 0.2687 0.4236
Cu6 0.8932 0.1068 0.2810

[3]
The following is a calculated powder X-ray diffraction pattern of HoZn2Cu4. It was derived from a cell relaxed with PBE, using a wavelength of 1.5418 Å.
Neutral-atom scattering factors, no anomalous dispersion.

Main lines, most intense first (2θ = 15–90°):
2theta, I/Imax
39.5, 100
36.2, 70
35.9, 65
46.2, 56
40.9, 52
41.5, 49
46.0, 36
35.5, 34
45.3, 34
72.3, 28

Structure:
Cell: 5.1690 5.1690 4.9969 Å, 118.04 118.04 76.57°
Atoms (fractional coordinates):
Ho1 0.0000 0.0000 0.0000
Zn1 0.4979 0.4979 0.2470
Zn2 0.5021 0.5021 0.7530
Cu1 0.0016 0.6189 0.3115
Cu2 0.3811 0.9984 0.6885
Cu3 0.6189 0.0016 0.3115
Cu4 0.9984 0.3811 0.6885

[4]
The following is a calculated powder X-ray diffraction pattern of Ho2ZnCu9. It was derived from a cell relaxed with PBE, using a wavelength of 1.5418 Å.
Neutral-atom scattering factors, no anomalous dispersion.

Main lines, most intense first (2θ = 15–90°):
2theta, I/Imax
41.9, 100
35.4, 61
35.7, 52
41.3, 47
32.7, 46
45.3, 44
45.6, 35
75.0, 30
43.8, 29
68.1, 22

Structure:
Cell: 8.6930 8.6930 8.6930 Å, 33.89 33.89 33.89°
Atoms (fractional coordinates):
Ho1 0.1349 0.1349 0.1349
Ho2 0.8651 0.8651 0.8651
Zn1 0.0000 0.0000 0.0000
Cu1 0.0793 0.5830 0.5830
Cu2 0.3330 0.3330 0.3330
Cu3 0.4170 0.4170 0.9207
Cu4 0.4170 0.9207 0.4170
Cu5 0.5000 0.5000 0.5000
Cu6 0.5830 0.0793 0.5830
Cu7 0.5830 0.5830 0.0793
Cu8 0.6670 0.6670 0.6670
Cu9 0.9207 0.4170 0.4170

[5]
The following is a calculated powder X-ray diffraction pattern of Ho2Zn7Cu. It was derived from a cell relaxed with PBE, using a wavelength of 1.5418 Å.
Neutral-atom scattering factors, no anomalous dispersion.

Main lines, most intense first (2θ = 15–90°):
2theta, I/Imax
35.4, 100
33.2, 62
44.8, 48
47.4, 35
56.9, 26
67.3, 24
76.5, 20
31.3, 17
65.2, 15
86.1, 12

Structure:
Cell: 4.0457 4.0457 10.8928 Å, 90.00 90.00 90.00°
Atoms (fractional coordinates):
Ho1 0.0000 0.5000 0.2473
Ho2 0.5000 0.0000 0.7527
Zn1 0.0000 0.0000 0.0000
Zn2 0.0000 0.0000 0.5000
Zn3 0.0000 0.5000 0.6405
Zn4 0.0000 0.5000 0.8642
Zn5 0.5000 0.0000 0.1358
Zn6 0.5000 0.0000 0.3595
Zn7 0.5000 0.5000 0.5000
Cu1 0.5000 0.5000 0.0000

[6]
The following is a calculated powder X-ray diffraction pattern of Ho6ZnCu2. It was derived from a cell relaxed with PBE, using a wavelength of 1.5418 Å.
Neutral-atom scattering factors, no anomalous dispersion.

Main lines, most intense first (2θ = 15–90°):
2theta, I/Imax
32.1, 100
35.1, 59
34.7, 57
34.3, 49
38.2, 31
59.9, 29
59.0, 27
29.9, 24
26.0, 23
28.5, 22

Structure:
Cell: 8.3639 8.3639 8.3639 Å, 111.43 110.10 106.92°
Atoms (fractional coordinates):
Ho1 0.0538 0.2439 0.8099
Ho2 0.1796 0.2747 0.4543
Ho3 0.1796 0.7253 0.9050
Ho4 0.3242 0.0240 0.6998
Ho5 0.3242 0.6244 0.3002
Ho6 0.4340 0.2439 0.1901
Ho7 0.5660 0.7561 0.8099
Ho8 0.6758 0.3756 0.6998
Ho9 0.6758 0.9760 0.3002
Ho10 0.8204 0.2747 0.0950
Ho11 0.8204 0.7253 0.5457
Ho12 0.9462 0.7561 0.1901
Zn1 0.0000 0.0000 0.0000
Zn2 0.5000 0.5000 0.0000
Cu1 0.1208 0.6208 0.5000
Cu2 0.3493 0.0000 0.3493
Cu3 0.6507 0.0000 0.6507
Cu4 0.8792 0.3792 0.5000